Diffraction record for Li9Mn7O16. The powder diffractogram is calculated, not measured: it uses DFT lattice parameters and positions (GGA+U) and CuKα.
Neutral-atom scattering factors, no anomalous dispersion.

Structure:
a b c (Å): 5.097 6.062 10.123
angles (deg): 93.26 100.18 103.77
Space group P-1 (No. 2)
Asymmetric unit:
1 Li 0.000 0.000 0.000
2 Li 0.488 0.876 0.120
3 Li 0.494 0.123 0.374
4 Li 0.497 0.375 0.624
5 Li 0.498 0.626 0.878
6 Mn 0.000 0.000 0.500
7 Mn 0.000 0.500 0.000
8 Mn 0.000 0.500 0.500
9 Mn 0.003 0.251 0.246
10 Mn 0.004 0.759 0.246
11 O 0.214 0.776 0.936
12 O 0.220 0.557 0.684
13 O 0.226 0.321 0.931
14 O 0.228 0.061 0.194
15 O 0.230 0.822 0.431
16 O 0.232 0.325 0.431
17 O 0.234 0.073 0.683
18 O 0.235 0.576 0.178

Largest 6 diffraction maxima, most intense first, 2θ from 10° to 90°:
18.28°, intensity 100, hkl 1 0 0; 44.17°, intensity 55, hkl 1 0 4; 40.83°, intensity 35, hkl 1 2 -2; 36.22°, intensity 23, hkl 0 0 4; 33.91°, intensity 18, hkl 0 2 -2; 58.20°, intensity 9, hkl -3 2 2